1.
This entry pairs a crystal structure of MnAgTe2 with its computed X-ray diffraction stick pattern. Radiation: a wavelength of 1.5418 Å. Structure: DFT lattice parameters and positions (PBE).
Intensities are scaled so that the largest is 100.

Structure:
a b c (Å): 8.595 12.478 6.008
angles (deg): 90.00 134.27 90.00
Space group C2/c (No. 15)
One atom of each set of equivalent atoms:
Mn  0.000  0.250  0.250
Ag  0.000  0.250  0.750
Te  0.250  0.110  0.284

Largest 12 diffraction maxima, in order of rising 2θ, 5 to 70 degrees two-theta:
two_theta  I_rel  hkl
14.20  26  0 2 0
25.15  100  2 2 -1
32.44  21  2 2 0
33.10  19  2 2 -2
41.21  37  2 4 0
41.74  32  2 4 -2
42.03  34  4 0 -2
43.52  9  0 6 0
48.63  12  0 6 1
49.14  16  2 2 1
50.08  10  2 2 -3
62.10  13  0 6 2

***

2.
This entry pairs a crystal structure of Pr2Ti2O7 with its computed X-ray diffraction stick pattern. Radiation: a wavelength of 1.5418 Å. Structure: DFT lattice parameters and positions (PBE).
Intensities are scaled so that the largest is 100.

Structure:
a b c (Å): 7.743 5.560 13.292
angles (deg): 90.00 98.47 90.00
Space group P2_1 (No. 4)
One atom of each set of equivalent atoms:
Pr  0.146  0.000  0.071
Pr  0.230  0.603  0.412
Pr  0.281  0.114  0.622
Pr  0.350  0.570  0.882
Ti  0.032  0.597  0.621
Ti  0.070  0.069  0.820
Ti  0.416  0.560  0.174
Ti  0.472  0.099  0.377
O  0.022  0.916  0.683
O  0.044  0.344  0.520
O  0.078  0.803  0.905
O  0.116  0.404  0.728
O  0.130  0.286  0.928
O  0.174  0.662  0.194
O  0.222  0.048  0.390
O  0.273  0.691  0.593
O  0.328  0.007  0.806
O  0.374  0.279  0.112
O  0.410  0.769  0.059
O  0.432  0.420  0.319
O  0.467  0.345  0.522
O  0.497  0.408  0.731

Largest 12 diffraction maxima, in order of rising 2θ, 5 to 70 degrees two-theta:
two_theta  I_rel  hkl
20.93  49  0 1 2
27.13  51  0 0 4
28.29  28  2 1 0
29.91  100  2 1 -2
31.62  27  0 1 4
32.20  35  0 2 0
32.94  58  2 1 -3
33.23  19  2 0 3
40.08  19  2 2 -1
42.59  25  0 2 4
46.94  45  4 0 -1
47.60  20  0 2 5

***

3.
This entry pairs a crystal structure of Rb2MgAgI6 with its computed X-ray diffraction stick pattern. Radiation: a wavelength of 1.5418 Å. Structure: DFT lattice parameters and positions (PBE).
Intensities are scaled so that the largest is 100.

Structure:
a b c (Å): 8.240 8.240 12.284
angles (deg): 90.00 90.00 90.00
Space group I4/mmm (No. 139)
One atom of each set of equivalent atoms:
Rb  0.000  0.500  0.250
Mg  0.000  0.000  0.000
Ag  0.000  0.000  0.500
I  0.000  0.000  0.231
I  0.244  0.244  0.500

Largest 12 diffraction maxima, in order of rising 2θ, 5 to 70 degrees two-theta:
two_theta  I_rel  hkl
14.42  8  0 0 2
15.21  14  1 1 0
26.04  100  2 0 2
29.08  33  0 0 4
30.69  61  2 2 0
42.79  45  2 2 4
43.96  22  4 0 0
49.73  15  2 0 6
51.81  29  4 2 2
53.57  23  4 0 4
68.52  11  4 2 6
69.16  9  2 2 8

***

4.
This entry pairs a crystal structure of ZrTa2Pt with its computed X-ray diffraction stick pattern. Radiation: a wavelength of 1.5418 Å. Structure: DFT lattice parameters and positions (PBE).
Intensities are scaled so that the largest is 100.

Structure:
a b c (Å): 2.886 4.829 5.331
angles (deg): 90.00 100.02 90.00
Space group P2/m (No. 10)
One atom of each set of equivalent atoms:
Zr  0.000  0.000  0.000
Ta  0.267  0.500  0.752
Pt  0.500  0.000  0.500

Largest 12 diffraction maxima, in order of rising 2θ, 5 to 70 degrees two-theta:
two_theta  I_rel  hkl
25.06  7  0 1 1
37.24  54  0 2 0
38.14  100  1 1 -1
38.56  48  1 0 1
39.06  94  0 1 2
54.69  35  1 2 1
56.78  16  1 0 -3
67.75  19  1 3 -1
68.37  18  0 3 2
68.88  17  2 1 0
69.53  9  2 0 -2
69.88  17  1 2 -3

***

5.
This entry pairs a crystal structure of RbTi2Ru with its computed X-ray diffraction stick pattern. Radiation: a wavelength of 1.5418 Å. Structure: DFT lattice parameters and positions (PBE).
Intensities are scaled so that the largest is 100.

Structure:
a b c (Å): 6.707 6.707 6.707
angles (deg): 90.00 90.00 90.00
Space group Fm-3m (No. 225)
One atom of each set of equivalent atoms:
Rb  0.000  0.000  0.000
Ti  0.250  0.250  0.250
Ru  0.000  0.000  0.500

Largest 7 diffraction maxima, in order of rising 2θ, 5 to 70 degrees two-theta:
two_theta  I_rel  hkl
22.97  1  1 1 1
26.58  14  2 0 0
37.94  100  2 2 0
46.93  4  2 2 2
54.74  16  4 0 0
61.86  6  4 2 0
68.54  32  4 2 2

***

6.
This entry pairs a crystal structure of Tb4GaTeC with its computed X-ray diffraction stick pattern. Radiation: a wavelength of 1.5418 Å. Structure: DFT lattice parameters and positions (PBE).
Intensities are scaled so that the largest is 100.

Structure:
a b c (Å): 6.773 15.483 6.811
angles (deg): 90.00 90.00 90.00
Space group Cmcm (No. 63)
One atom of each set of equivalent atoms:
Tb  0.000  0.082  0.250
Tb  0.000  0.406  0.250
Tb  0.250  0.250  0.000
Ga  0.000  0.116  0.750
Te  0.000  0.392  0.750
C  0.000  0.244  0.250

Largest 12 diffraction maxima, in order of rising 2θ, 5 to 70 degrees two-theta:
two_theta  I_rel  hkl
11.43  29  0 2 0
28.64  66  0 2 2
28.77  66  2 2 0
34.77  46  0 6 0
35.10  78  0 4 2
35.21  77  2 4 0
37.45  100  2 0 2
52.02  58  2 6 2
53.84  18  0 0 4
65.98  39  4 6 0
66.20  25  4 4 2
66.35  24  2 10 0

***

7.
This entry pairs a crystal structure of RbCr2S4 with its computed X-ray diffraction stick pattern. Radiation: a wavelength of 1.5418 Å. Structure: DFT lattice parameters and positions (PBE).
Intensities are scaled so that the largest is 100.

Structure:
a b c (Å): 11.660 3.584 13.138
angles (deg): 90.00 90.00 90.00
Space group Pnma (No. 62)
One atom of each set of equivalent atoms:
Rb  0.244  0.250  0.165
Cr  0.071  0.250  0.396
Cr  0.074  0.250  0.896
S  0.019  0.750  0.784
S  0.060  0.250  0.575
S  0.104  0.750  0.012
S  0.208  0.750  0.374

Largest 12 diffraction maxima, in order of rising 2θ, 5 to 70 degrees two-theta:
two_theta  I_rel  hkl
20.37  29  2 0 2
26.65  90  3 0 2
27.15  43  0 0 4
33.21  100  1 1 3
33.64  30  4 0 2
34.73  75  3 1 1
39.90  46  4 1 0
40.33  36  2 1 4
40.48  30  4 1 1
44.18  32  2 0 6
48.90  45  4 1 4
50.97  43  0 2 0

***

8.
This entry pairs a crystal structure of Ho3SbP2Rh9 with its computed X-ray diffraction stick pattern. Radiation: a wavelength of 1.5418 Å. Structure: DFT lattice parameters and positions (PBE).
Intensities are scaled so that the largest is 100.

Structure:
a b c (Å): 6.0535 6.0535 9.2165
angles (deg): 90.00 90.00 120.00
Space group P-3m1 (No. 164)
One atom of each set of equivalent atoms:
Ho  0.0000  0.0000  0.0000
Ho  0.3333  0.6667  0.7302
Sb  0.0000  0.0000  0.5000
P  0.3333  0.6667  0.1604
Rh  0.0000  0.5000  0.0000
Rh  0.1505  0.3010  0.2711

Largest 12 diffraction maxima, in order of rising 2θ, 5 to 70 degrees two-theta:
two_theta  I_rel  hkl
9.60  31  0 0 1
16.91  10  1 0 0
19.26  11  0 0 2
29.07  14  0 0 3
29.51  13  1 1 0
35.61  83  0 2 1
39.09  28  0 0 4
39.55  100  2 0 2
45.49  34  2 0 3
50.11  13  1 2 2
61.25  27  2 2 0
61.50  20  0 2 5

***

9.
This entry pairs a crystal structure of RbGa3Pt with its computed X-ray diffraction stick pattern. Radiation: a wavelength of 1.5418 Å. Structure: DFT lattice parameters and positions (PBE).
Intensities are scaled so that the largest is 100.

Structure:
a b c (Å): 8.545 4.475 11.856
angles (deg): 90.00 90.00 90.00
Space group Pnma (No. 62)
One atom of each set of equivalent atoms:
Rb  0.155  0.250  0.013
Ga  0.057  0.250  0.576
Ga  0.134  0.750  0.769
Ga  0.167  0.750  0.243
Pt  0.096  0.250  0.356

Largest 12 diffraction maxima, in order of rising 2θ, 5 to 70 degrees two-theta:
two_theta  I_rel  hkl
12.77  100  1 0 1
21.22  46  0 1 1
22.12  37  2 0 1
24.82  54  1 0 3
28.89  42  2 1 0
31.97  96  1 1 3
32.68  84  2 1 2
38.22  34  3 1 1
40.30  74  0 2 0
42.27  77  4 0 0
44.10  49  3 1 3
55.17  32  2 1 6

***

10.
This entry pairs a crystal structure of KCuHg2 with its computed X-ray diffraction stick pattern. Radiation: a wavelength of 1.5418 Å. Structure: DFT lattice parameters and positions (PBE).
Intensities are scaled so that the largest is 100.

Structure:
a b c (Å): 5.025 4.405 10.690
angles (deg): 90.00 102.20 90.00
Space group P2_1/m (No. 11)
One atom of each set of equivalent atoms:
K  0.040  0.250  0.226
Cu  0.121  0.750  0.489
Hg  0.417  0.250  0.605
Hg  0.472  0.750  0.095

Largest 12 diffraction maxima, in order of rising 2θ, 5 to 70 degrees two-theta:
two_theta  I_rel  hkl
16.97  28  0 0 2
18.06  82  1 0 0
21.90  54  0 1 1
27.35  100  1 1 -1
29.68  25  1 1 1
32.78  95  0 1 3
35.35  39  1 0 -4
36.59  21  2 0 0
40.35  46  1 1 3
40.99  42  0 2 0
41.38  44  2 1 -1
55.20  23  1 2 -4

***

11.
This entry pairs a crystal structure of Er3Al5Co with its computed X-ray diffraction stick pattern. Radiation: a wavelength of 1.5418 Å. Structure: DFT lattice parameters and positions (PBE).
Intensities are scaled so that the largest is 100.

Structure:
a b c (Å): 6.9023 6.9023 4.2984
angles (deg): 90.00 90.00 120.00
Space group P-62m (No. 189)
One atom of each set of equivalent atoms:
Er  0.0000  0.5996  0.0000
Al  0.0000  0.2270  0.5000
Al  0.3333  0.6667  0.5000
Co  0.0000  0.0000  0.0000

Largest 12 diffraction maxima, in order of rising 2θ, 5 to 70 degrees two-theta:
two_theta  I_rel  hkl
20.66  49  0 0 1
25.82  52  1 1 0
29.90  27  2 0 0
33.29  100  1 1 1
36.62  59  2 0 1
39.90  24  2 1 0
42.04  22  0 0 2
45.52  16  3 0 0
49.99  18  1 1 2
55.42  17  3 1 0
59.35  15  2 1 2
59.79  31  3 1 1

***

12.
This entry pairs a crystal structure of ZrAl4C4 with its computed X-ray diffraction stick pattern. Radiation: a wavelength of 1.5418 Å. Structure: DFT lattice parameters and positions (PBE).
Intensities are scaled so that the largest is 100.

Structure:
a b c (Å): 3.3547 3.3547 22.1095
angles (deg): 90.00 90.00 120.00
Space group P-3m1 (No. 164)
One atom of each set of equivalent atoms:
Zr  0.3333  0.6667  0.0614
Al  0.0000  0.0000  0.1655
Al  0.0000  0.0000  0.3517
Al  0.3333  0.6667  0.5453
Al  0.3333  0.6667  0.7324
C  0.0000  0.0000  0.0000
C  0.0000  0.0000  0.2538
C  0.0000  0.0000  0.5000
C  0.3333  0.6667  0.6326
C  0.3333  0.6667  0.8744

Largest 12 diffraction maxima, in order of rising 2θ, 5 to 70 degrees two-theta:
two_theta  I_rel  hkl
8.00  63  0 0 2
12.01  14  0 0 3
31.85  85  1 0 2
33.14  43  1 0 3
34.89  70  1 0 4
37.02  25  0 1 5
39.50  100  0 1 6
40.81  21  0 0 10
48.53  15  1 0 9
54.72  59  1 1 0
59.40  29  1 0 12
69.56  18  2 0 6